Record 1
Structure and simulated XRD peak list of PrTm (a structure optimized by DFT (PBE); Cu Kα X-rays).
Lines closer than 0.1° are merged.

Unit cell a=4.055 b=4.055 c=4.055 alpha=90.00 beta=90.00 gamma=90.00
Fractional positions:
Pr (0.000, 0.000, 0.000)
Tm (0.500, 0.500, 0.500)

Largest 6 diffraction maxima, low angle first, 10 to 90 degrees two-theta:
- 2θ = 31.19°, I 100
- 2θ = 44.70°, I 19
- 2θ = 55.51°, I 39
- 2θ = 65.06°, I 12
- 2θ = 73.91°, I 17
- 2θ = 82.38°, I 4

***

Record 2
Structure and simulated XRD peak list of Nd3Ho4Er4 (a structure optimized by DFT (PBE); Cu Kα X-rays).
Lines closer than 0.1° are merged.

Unit cell a=10.565 b=6.640 c=6.640 alpha=50.69 beta=90.00 gamma=90.00
Fractional positions:
Nd (0.000, 0.000, 0.000)
Nd (0.292, 0.153, 0.153)
Nd (0.708, 0.153, 0.153)
Ho (0.000, 0.702, 0.702)
Ho (0.215, 0.497, 0.497)
Ho (0.500, 0.635, 0.635)
Ho (0.785, 0.497, 0.497)
Er (0.000, 0.301, 0.301)
Er (0.295, 0.848, 0.848)
Er (0.500, 0.362, 0.362)
Er (0.705, 0.848, 0.848)

Largest 6 diffraction maxima, low angle first, 10 to 90 degrees two-theta:
- 2θ = 30.78°, I 27
- 2θ = 30.98°, I 15
- 2θ = 31.47°, I 37
- 2θ = 32.18°, I 100
- 2θ = 33.94°, I 16
- 2θ = 56.49°, I 20

***

Record 3
Structure and simulated XRD peak list of K2In2HgBr6 (a structure optimized by DFT (PBE); Cu Kα X-rays).
Lines closer than 0.1° are merged.

Unit cell a=8.130 b=9.396 c=9.703 alpha=64.07 beta=65.26 gamma=89.69
Fractional positions:
K (0.163, 0.298, 0.177)
K (0.837, 0.702, 0.823)
In (0.083, 0.631, 0.335)
In (0.917, 0.369, 0.665)
Hg (0.500, 0.000, 0.500)
Br (0.067, 0.385, 0.849)
Br (0.071, 0.896, 0.359)
Br (0.418, 0.612, 0.156)
Br (0.582, 0.388, 0.844)
Br (0.929, 0.104, 0.641)
Br (0.933, 0.615, 0.151)

Largest 6 diffraction maxima, low angle first, 10 to 90 degrees two-theta:
- 2θ = 12.30°, I 52
- 2θ = 14.42°, I 70
- 2θ = 18.81°, I 68
- 2θ = 18.93°, I 59
- 2θ = 19.12°, I 100
- 2θ = 31.78°, I 50

***

Record 4
Structure and simulated XRD peak list of Na2Pd4O9 (a structure optimized by DFT (PBE); Cu Kα X-rays).
Lines closer than 0.1° are merged.

Unit cell a=5.299 b=5.299 c=14.464 alpha=90.00 beta=90.00 gamma=120.00
Fractional positions:
Na (0.000, 0.000, 0.151)
Na (0.000, 0.000, 0.349)
Na (0.000, 0.000, 0.651)
Na (0.000, 0.000, 0.849)
Pd (0.333, 0.667, 0.181)
Pd (0.333, 0.667, 0.485)
Pd (0.333, 0.667, 0.681)
Pd (0.333, 0.667, 0.985)
Pd (0.667, 0.333, 0.015)
Pd (0.667, 0.333, 0.319)
Pd (0.667, 0.333, 0.515)
Pd (0.667, 0.333, 0.819)
O (0.000, 0.338, 0.250)
O (0.000, 0.662, 0.750)
O (0.042, 0.378, 0.576)
O (0.042, 0.664, 0.076)
O (0.336, 0.378, 0.076)
O (0.336, 0.958, 0.576)
O (0.338, 0.000, 0.250)
O (0.338, 0.338, 0.750)
O (0.378, 0.042, 0.924)
O (0.378, 0.336, 0.424)
O (0.622, 0.664, 0.576)
O (0.622, 0.958, 0.076)
O (0.662, 0.000, 0.750)
O (0.662, 0.662, 0.250)
O (0.664, 0.042, 0.424)
O (0.664, 0.622, 0.924)
O (0.958, 0.336, 0.924)
O (0.958, 0.622, 0.424)

Largest 6 diffraction maxima, low angle first, 10 to 90 degrees two-theta:
- 2θ = 19.34°, I 76
- 2θ = 22.95°, I 56
- 2θ = 31.50°, I 100
- 2θ = 33.83°, I 97
- 2θ = 46.90°, I 40
- 2θ = 51.24°, I 76